[1]
Diffraction record for Sr6Tl5. The X-ray diffraction stick pattern is simulated, not measured: it uses a cell relaxed with GGA-PBE and Cu Kα (weighted mean of Kα1 and Kα2).
No peak broadening, texture or thermal motion is included.

Atomic structure:
Lattice parameters (Å, degrees): 9.9923 9.9923 9.9923 146.51 131.53 60.20
Fractional positions:
Sr: 0.0879 0.3365 0.7514
Sr: 0.2490 0.0000 0.2490
Sr: 0.4150 0.6635 0.7514
Sr: 0.5850 0.3365 0.2486
Sr: 0.7510 0.0000 0.7510
Sr: 0.9121 0.6635 0.2486
Tl: 0.0000 0.5000 0.5000
Tl: 0.1716 0.1716 0.0000
Tl: 0.3294 0.8294 0.5000
Tl: 0.6706 0.1706 0.5000
Tl: 0.8284 0.8284 0.0000

Largest 6 diffraction maxima, sorted by position, 10 to 90 degrees two-theta:
30.96 deg, I = 100
31.06 deg, I = 20
44.48 deg, I = 15
54.96 deg, I = 16
55.17 deg, I = 31
73.50 deg, I = 13

=====

[2]
Diffraction record for Sr2Tl13. The X-ray diffraction stick pattern is simulated, not measured: it uses a cell relaxed with GGA-PBE and Cu Kα (weighted mean of Kα1 and Kα2).
No peak broadening, texture or thermal motion is included.

Atomic structure:
Lattice parameters (Å, degrees): 9.6329 9.6329 9.6329 56.30 56.30 56.30
Fractional positions:
Sr: 0.2419 0.2419 0.2419
Sr: 0.7581 0.7581 0.7581
Tl: 0.0000 0.0000 0.0000
Tl: 0.0120 0.0120 0.6494
Tl: 0.0120 0.6494 0.0120
Tl: 0.2393 0.2393 0.6198
Tl: 0.2393 0.6198 0.2393
Tl: 0.3506 0.9880 0.9880
Tl: 0.3802 0.7607 0.7607
Tl: 0.6198 0.2393 0.2393
Tl: 0.6494 0.0120 0.0120
Tl: 0.7607 0.3802 0.7607
Tl: 0.7607 0.7607 0.3802
Tl: 0.9880 0.3506 0.9880
Tl: 0.9880 0.9880 0.3506

Largest 6 diffraction maxima, sorted by position, 10 to 90 degrees two-theta:
11.82 deg, I = 74
30.27 deg, I = 49
31.65 deg, I = 56
33.56 deg, I = 100
34.50 deg, I = 52
35.99 deg, I = 78

=====

[3]
Diffraction record for SrTmTl6. The X-ray diffraction stick pattern is simulated, not measured: it uses a cell relaxed with GGA-PBE and Cu Kα (weighted mean of Kα1 and Kα2).
No peak broadening, texture or thermal motion is included.

Atomic structure:
Lattice parameters (Å, degrees): 4.8644 4.8644 9.7309 90.00 90.00 90.00
Fractional positions:
Sr: 0.0000 0.0000 0.0000
Tm: 0.0000 0.0000 0.5000
Tl: 0.0000 0.5000 0.2612
Tl: 0.0000 0.5000 0.7388
Tl: 0.5000 0.0000 0.2612
Tl: 0.5000 0.0000 0.7388
Tl: 0.5000 0.5000 0.0000
Tl: 0.5000 0.5000 0.5000

Largest 6 diffraction maxima, sorted by position, 10 to 90 degrees two-theta:
31.86 deg, I = 100
36.96 deg, I = 50
53.26 deg, I = 35
63.42 deg, I = 42
66.59 deg, I = 12
87.38 deg, I = 17

=====

[4]
Diffraction record for SrTm5Tl6. The X-ray diffraction stick pattern is simulated, not measured: it uses a cell relaxed with GGA-PBE and Cu Kα (weighted mean of Kα1 and Kα2).
No peak broadening, texture or thermal motion is included.

Atomic structure:
Lattice parameters (Å, degrees): 9.3539 9.3539 9.3539 146.21 132.77 59.32
Fractional positions:
Sr: 0.0000 0.0000 0.0000
Tm: 0.1626 0.6626 0.5000
Tm: 0.3321 0.3321 0.0000
Tm: 0.5000 0.0000 0.5000
Tm: 0.6679 0.6679 0.0000
Tm: 0.8374 0.3374 0.5000
Tl: 0.0863 0.8291 0.2572
Tl: 0.2639 0.5000 0.7639
Tl: 0.4282 0.1709 0.2572
Tl: 0.5718 0.8291 0.7428
Tl: 0.7361 0.5000 0.2361
Tl: 0.9137 0.1709 0.7428

Largest 6 diffraction maxima, sorted by position, 10 to 90 degrees two-theta:
32.95 deg, I = 26
33.06 deg, I = 26
33.42 deg, I = 100
47.38 deg, I = 19
59.15 deg, I = 20
59.28 deg, I = 19

=====

[5]
Diffraction record for SrTlV2. The X-ray diffraction stick pattern is simulated, not measured: it uses a cell relaxed with GGA-PBE and Cu Kα (weighted mean of Kα1 and Kα2).
No peak broadening, texture or thermal motion is included.

Atomic structure:
Lattice parameters (Å, degrees): 10.7141 10.7141 10.7141 155.54 155.54 34.86
Fractional positions:
Sr: 0.0000 0.0000 0.0000
Sr: 0.7500 0.2500 0.5000
Tl: 0.2500 0.7500 0.5000
Tl: 0.5000 0.5000 0.0000
V: 0.3629 0.6250 0.2379
V: 0.3750 0.6129 0.7379
V: 0.3871 0.1250 0.7621
V: 0.8750 0.6371 0.2621

Largest 6 diffraction maxima, sorted by position, 10 to 90 degrees two-theta:
17.35 deg, I = 34
20.04 deg, I = 51
29.16 deg, I = 100
35.12 deg, I = 28
38.53 deg, I = 48
43.64 deg, I = 34

=====

[6]
Diffraction record for Sr2Y3Tl4. The X-ray diffraction stick pattern is simulated, not measured: it uses a cell relaxed with GGA-PBE and Cu Kα (weighted mean of Kα1 and Kα2).
No peak broadening, texture or thermal motion is included.

Atomic structure:
Lattice parameters (Å, degrees): 9.5862 9.5862 9.0561 90.00 90.00 134.75
Fractional positions:
Sr: 0.1073 0.8927 0.9171
Sr: 0.3927 0.6073 0.4171
Sr: 0.6073 0.3927 0.5829
Sr: 0.8927 0.1073 0.0829
Y: 0.0000 0.0000 0.5000
Y: 0.0298 0.4702 0.7500
Y: 0.4702 0.0298 0.2500
Y: 0.5000 0.5000 0.0000
Y: 0.5298 0.9702 0.7500
Y: 0.9702 0.5298 0.2500
Tl: 0.1831 0.8169 0.5357
Tl: 0.2033 0.2967 0.7500
Tl: 0.2967 0.2033 0.2500
Tl: 0.3169 0.6831 0.0357
Tl: 0.6831 0.3169 0.9643
Tl: 0.7033 0.7967 0.7500
Tl: 0.7967 0.7033 0.2500
Tl: 0.8169 0.1831 0.4643

Largest 6 diffraction maxima, sorted by position, 10 to 90 degrees two-theta:
28.00 deg, I = 31
29.68 deg, I = 46
31.29 deg, I = 100
31.91 deg, I = 19
40.40 deg, I = 17
49.42 deg, I = 14

=====

[7]
Diffraction record for Sr2YTl4. The X-ray diffraction stick pattern is simulated, not measured: it uses a cell relaxed with GGA-PBE and Cu Kα (weighted mean of Kα1 and Kα2).
No peak broadening, texture or thermal motion is included.

Atomic structure:
Lattice parameters (Å, degrees): 8.6675 8.6675 8.6675 143.09 143.09 53.20
Fractional positions:
Sr: 0.2455 0.2455 0.0000
Sr: 0.7545 0.7545 0.0000
Y: 0.5000 0.5000 0.0000
Tl: 0.1047 0.6047 0.5000
Tl: 0.3953 0.8953 0.5000
Tl: 0.6047 0.1047 0.5000
Tl: 0.8953 0.3953 0.5000

Largest 6 diffraction maxima, sorted by position, 10 to 90 degrees two-theta:
22.92 deg, I = 30
32.65 deg, I = 100
46.83 deg, I = 17
58.26 deg, I = 30
64.74 deg, I = 11
77.84 deg, I = 12

=====

[8]
Diffraction record for SrTl3Zn3. The X-ray diffraction stick pattern is simulated, not measured: it uses a cell relaxed with GGA-PBE and Cu Kα (weighted mean of Kα1 and Kα2).
No peak broadening, texture or thermal motion is included.

Atomic structure:
Lattice parameters (Å, degrees): 7.6309 7.6309 7.6309 90.00 90.00 90.00
Fractional positions:
Sr: 0.0000 0.0000 0.0000
Sr: 0.5000 0.5000 0.5000
Tl: 0.0000 0.2500 0.5000
Tl: 0.0000 0.7500 0.5000
Tl: 0.2500 0.5000 0.0000
Tl: 0.5000 0.0000 0.2500
Tl: 0.5000 0.0000 0.7500
Tl: 0.7500 0.5000 0.0000
Zn: 0.0000 0.5000 0.2500
Zn: 0.0000 0.5000 0.7500
Zn: 0.2500 0.0000 0.5000
Zn: 0.5000 0.2500 0.0000
Zn: 0.5000 0.7500 0.0000
Zn: 0.7500 0.0000 0.5000

Largest 6 diffraction maxima, sorted by position, 10 to 90 degrees two-theta:
16.43 deg, I = 48
23.31 deg, I = 42
26.11 deg, I = 62
28.65 deg, I = 100
40.97 deg, I = 52
44.42 deg, I = 61

=====

[9]
Diffraction record for Sr2Tl3Zn. The X-ray diffraction stick pattern is simulated, not measured: it uses a cell relaxed with GGA-PBE and Cu Kα (weighted mean of Kα1 and Kα2).
No peak broadening, texture or thermal motion is included.

Atomic structure:
Lattice parameters (Å, degrees): 10.2784 9.7829 6.5021 75.28 67.00 37.72
Fractional positions:
Sr: 0.2475 0.7525 0.7525
Sr: 0.2500 0.2500 0.2500
Sr: 0.7500 0.7500 0.7500
Sr: 0.7525 0.2475 0.2475
Tl: 0.1733 0.6528 0.3472
Tl: 0.1746 0.1746 0.8254
Tl: 0.3472 0.8267 0.1733
Tl: 0.6528 0.1733 0.8267
Tl: 0.8254 0.8254 0.1746
Tl: 0.8267 0.3472 0.6528
Zn: 0.3329 0.3329 0.6671
Zn: 0.6671 0.6671 0.3329

Largest 6 diffraction maxima, sorted by position, 10 to 90 degrees two-theta:
22.11 deg, I = 33
29.98 deg, I = 100
34.92 deg, I = 59
35.12 deg, I = 29
41.72 deg, I = 24
58.27 deg, I = 27

=====

[10]
Diffraction record for Sr4TlZn. The X-ray diffraction stick pattern is simulated, not measured: it uses a cell relaxed with GGA-PBE and Cu Kα (weighted mean of Kα1 and Kα2).
No peak broadening, texture or thermal motion is included.

Atomic structure:
Lattice parameters (Å, degrees): 4.0472 4.0472 14.4740 90.00 90.00 90.00
Fractional positions:
Sr: 0.0000 0.0000 0.1298
Sr: 0.0000 0.0000 0.8702
Sr: 0.5000 0.5000 0.3608
Sr: 0.5000 0.5000 0.6392
Tl: 0.0000 0.0000 0.5000
Zn: 0.5000 0.5000 0.0000

Largest 6 diffraction maxima, sorted by position, 10 to 90 degrees two-theta:
12.23 deg, I = 30
28.79 deg, I = 100
31.26 deg, I = 50
38.22 deg, I = 28
44.79 deg, I = 19
54.12 deg, I = 34